[1]
Calculated powder diffraction line list of Tb4CuSi3 for a wavelength of 1.5418 Å, from a GGA-PBE-relaxed structure.
No peak broadening, texture or thermal motion is included.

a b c (Å): 3.915 4.228 10.743
angles (deg): 90.00 90.00 90.00
Space group Pmm2 (No. 25)
Symmetry-distinct sites (fractional):
Tb 0.000 0.000 0.000 x1
Tb 0.000 0.500 0.498 x1
Tb 0.500 0.000 0.718 x1
Tb 0.500 0.500 0.218 x1
Cu 0.000 0.500 0.793 x1
Si 0.000 0.000 0.284 x1
Si 0.500 0.000 0.430 x1
Si 0.500 0.500 0.933 x1

The 10 most intense peaks (2θ = 10–90°), by intensity:
d/Å  I/Imax  h k l
2.775  100.0  1 1 1
3.164  56.9  1 0 2
2.732  55.2  0 1 3
2.241  35.7  1 1 3
2.686  28.0  0 0 4
3.934  25.9  0 1 1
2.114  23.0  0 2 0
1.591  21.6  2 1 3
1.758  21.6  1 2 2
1.720  18.5  1 1 5

=====

[2]
Calculated powder diffraction line list of CuSiTc for a wavelength of 1.5418 Å, from a GGA-PBE-relaxed structure.
No peak broadening, texture or thermal motion is included.

a b c (Å): 2.993 2.993 8.747
angles (deg): 90.00 90.00 90.00
Space group I4mm (No. 107)
Symmetry-distinct sites (fractional):
Cu 0.000 0.000 0.000 x2
Si 0.000 0.000 0.657 x2
Tc 0.000 0.000 0.309 x2

The 10 most intense peaks (2θ = 10–90°), by intensity:
d/Å  I/Imax  h k l
2.088  100.0  1 0 3
2.116  54.5  1 1 0
2.832  33.3  1 0 1
1.216  32.2  2 1 3
1.496  17.2  2 0 0
1.201  13.5  1 1 6
4.374  9.6  0 0 2
1.521  9.0  1 1 4
2.187  7.5  0 0 4
1.458  6.6  0 0 6

=====

[3]
Calculated powder diffraction line list of CuSiTe3 for a wavelength of 1.5418 Å, from a GGA-PBE-relaxed structure.
No peak broadening, texture or thermal motion is included.

a b c (Å): 6.676 6.816 7.053
angles (deg): 115.40 90.68 115.44
Space group P-1 (No. 2)
Symmetry-distinct sites (fractional):
Cu 0.110 0.242 0.422 x2
Si 0.332 0.690 0.024 x2
Te 0.069 0.523 0.274 x2
Te 0.260 0.208 0.762 x2
Te 0.441 0.170 0.265 x2

The 10 most intense peaks (2θ = 10–90°), by intensity:
d/Å  I/Imax  h k l
2.958  100.0  1 1 -2
3.262  78.7  1 1 0
2.904  60.0  -2 1 1
3.092  54.0  0 0 2
2.869  51.7  1 -2 2
3.077  51.5  1 -2 0
2.004  34.8  3 0 -1
2.038  34.1  0 3 -2
1.899  26.4  3 -3 1
2.193  26.2  1 -2 3

=====

[4]
Calculated powder diffraction line list of CuSi2Te4 for a wavelength of 1.5418 Å, from a GGA-PBE-relaxed structure.
No peak broadening, texture or thermal motion is included.

a b c (Å): 5.968 5.968 5.806
angles (deg): 90.00 90.00 90.00
Space group P-42m (No. 111)
Symmetry-distinct sites (fractional):
Cu 0.000 0.000 0.000 x1
Si 0.000 0.500 0.500 x2
Te 0.263 0.263 0.229 x4

The 10 most intense peaks (2θ = 10–90°), by intensity:
d/Å  I/Imax  h k l
3.414  100.0  1 1 1
2.081  35.1  2 0 2
1.795  29.9  3 1 1
2.110  19.0  2 2 0
2.984  17.9  2 0 0
1.759  12.9  1 1 3
1.213  10.9  4 2 2
1.351  10.2  3 1 3
2.903  7.9  0 0 2
1.147  6.3  5 1 1

=====

[5]
Calculated powder diffraction line list of Th3Cu3Si for a wavelength of 1.5418 Å, from a GGA-PBE-relaxed structure.
No peak broadening, texture or thermal motion is included.

a b c (Å): 3.912 4.146 18.935
angles (deg): 90.00 90.00 90.00
Space group Imm2 (No. 44)
Symmetry-distinct sites (fractional):
Th 0.000 0.000 0.000 x2
Th 0.000 0.000 0.376 x2
Th 0.000 0.500 0.189 x2
Cu 0.000 0.000 0.549 x2
Cu 0.000 0.000 0.820 x2
Cu 0.000 0.500 0.624 x2
Si 0.000 0.500 0.752 x2

The 10 most intense peaks (2θ = 10–90°), by intensity:
d/Å  I/Imax  h k l
2.723  100.0  1 0 5
3.465  32.4  0 1 3
1.649  18.6  1 2 5
2.266  17.5  0 1 7
3.156  14.6  0 0 6
2.073  14.2  0 2 0
2.439  13.7  1 1 4
1.956  11.9  2 0 0
1.820  10.1  1 1 8
1.233  9.8  3 0 5

=====

[6]
Calculated powder diffraction line list of Th2Cu3Si4 for a wavelength of 1.5418 Å, from a GGA-PBE-relaxed structure.
No peak broadening, texture or thermal motion is included.

a b c (Å): 5.664 14.863 7.461
angles (deg): 90.00 90.00 90.00
Space group Cmce (No. 64)
Symmetry-distinct sites (fractional):
Th 0.000 0.113 0.092 x8
Cu 0.000 0.000 0.500 x4
Cu 0.250 0.216 0.750 x8
Si 0.000 0.183 0.478 x8
Si 0.250 0.055 0.750 x8

The 10 most intense peaks (2θ = 10–90°), by intensity:
d/Å  I/Imax  h k l
2.482  100.0  1 5 1
2.254  89.5  2 0 2
2.637  78.9  1 3 2
4.317  65.6  1 1 1
3.334  61.9  1 3 1
2.359  59.6  0 2 3
2.494  54.1  2 2 1
3.049  50.7  1 1 2
5.265  32.8  0 2 1
1.492  32.1  2 6 3